1.
Diffraction record for Pa4Cu6O19. The powder XRD pattern is calculated, not measured: it uses a PBE-relaxed structure and copper Kα.
No peak broadening, texture or thermal motion is included.

Main lines, in order of falling intensity (2θ from 15° to 90°):
- 25.16 deg, d 3.539, intensity 1000, hkl 2 1 1
- 44.33 deg, d 2.043, intensity 543, hkl 3 3 0
- 32.66 deg, d 2.742, intensity 522, hkl 3 1 0
- 58.29 deg, d 1.583, intensity 321, hkl 5 2 1
- 35.88 deg, d 2.503, intensity 307, hkl 2 2 2
- 38.87 deg, d 2.317, intensity 270, hkl 3 2 1
- 81.60 deg, d 1.180, intensity 226, hkl 6 3 3
- 60.40 deg, d 1.533, intensity 163, hkl 4 4 0
- 51.65 deg, d 1.770, intensity 149, hkl 4 2 2
- 62.46 deg, d 1.487, intensity 145, hkl 4 3 3
- 53.93 deg, d 1.700, intensity 100, hkl 4 3 1
- 46.87 deg, d 1.939, intensity 96, hkl 4 2 0

Cell and atoms:
abc: 8.6695 8.6695 8.6695
angles: 90.00 90.00 90.00
Space group I-43m (No. 217)
One atom of each set of equivalent atoms:
Pa 0.1522 0.1522 0.1522 x8
Cu 0.0000 0.2500 0.5000 x12
O 0.0000 0.0000 0.0000 x2
O 0.0000 0.0000 0.2862 x12
O 0.0495 0.2913 0.7087 x24

---

2.
Diffraction record for Pa2CuO8. The powder XRD pattern is calculated, not measured: it uses a PBE-relaxed structure and copper Kα.
No peak broadening, texture or thermal motion is included.

Main lines, in order of falling intensity (2θ from 15° to 90°):
- 16.37 deg, d 5.416, intensity 1000, hkl 0 1 0
- 27.19 deg, d 3.279, intensity 868, hkl 1 1 1
- 21.50 deg, d 4.132, intensity 831, hkl 0 1 -1
- 29.90 deg, d 2.988, intensity 698, hkl 0 1 2
- 31.67 deg, d 2.825, intensity 691, hkl 0 1 -2
- 32.27 deg, d 2.774, intensity 523, hkl 1 -1 0
- 30.63 deg, d 2.919, intensity 463, hkl 1 0 -1
- 25.91 deg, d 3.439, intensity 437, hkl 0 0 2
- 24.82 deg, d 3.587, intensity 307, hkl 1 0 0
- 36.40 deg, d 2.468, intensity 278, hkl 0 2 -1
- 49.29 deg, d 1.849, intensity 252, hkl 1 2 3
- 42.82 deg, d 2.112, intensity 245, hkl 1 2 -1

Cell and atoms:
abc: 3.7571 5.5336 7.1057
angles: 83.87 75.90 78.72
Space group P-1 (No. 2)
One atom of each set of equivalent atoms:
Pa 0.1185 0.0922 0.2271 x2
Cu 0.5000 0.5000 0.5000 x1
O 0.1199 0.4940 0.0556 x2
O 0.1459 0.7715 0.4358 x2
O 0.2876 0.0687 0.8833 x2
O 0.4824 0.6974 0.6949 x2

---

3.
Diffraction record for PaCu6O12. The powder XRD pattern is calculated, not measured: it uses a PBE-relaxed structure and copper Kα.
No peak broadening, texture or thermal motion is included.

Main lines, in order of falling intensity (2θ from 15° to 90°):
- 46.32 deg, d 1.960, intensity 1000, hkl 3 1 2
- 24.27 deg, d 3.667, intensity 773, hkl 2 0 0
- 29.84 deg, d 2.994, intensity 635, hkl 2 1 1
- 64.83 deg, d 1.438, intensity 324, hkl 4 3 1
- 52.97 deg, d 1.729, intensity 193, hkl 4 1 1
- 80.78 deg, d 1.190, intensity 175, hkl 5 2 3
- 38.83 deg, d 2.319, intensity 146, hkl 3 1 0
- 70.31 deg, d 1.339, intensity 131, hkl 5 1 2
- 17.10 deg, d 5.186, intensity 129, hkl 1 1 0
- 49.73 deg, d 1.833, intensity 117, hkl 4 0 0
- 34.59 deg, d 2.593, intensity 105, hkl 2 2 0
- 59.08 deg, d 1.564, intensity 103, hkl 3 3 2

Cell and atoms:
abc: 7.3335 7.3335 7.3335
angles: 90.00 90.00 90.00
Space group Im-3 (No. 204)
One atom of each set of equivalent atoms:
Pa 0.0000 0.0000 0.0000 x2
Cu 0.0000 0.1641 0.5000 x12
O 0.0000 0.3087 0.1517 x24

---

4.
Diffraction record for PaCuO3. The powder XRD pattern is calculated, not measured: it uses a PBE-relaxed structure and copper Kα.
No peak broadening, texture or thermal motion is included.

Main lines, in order of falling intensity (2θ from 15° to 90°):
- 30.29 deg, d 2.951, intensity 1000, hkl 2 0 1
- 51.85 deg, d 1.763, intensity 480, hkl 3 2 1
- 19.02 deg, d 4.665, intensity 350, hkl 1 1 0
- 27.03 deg, d 3.299, intensity 329, hkl 2 0 0
- 41.04 deg, d 2.199, intensity 268, hkl 2 2 1
- 23.35 deg, d 3.809, intensity 245, hkl 1 1 1
- 57.60 deg, d 1.600, intensity 233, hkl 4 0 1
- 33.26 deg, d 2.693, intensity 226, hkl 2 1 1
- 73.14 deg, d 1.294, intensity 196, hkl 4 1 3
- 43.37 deg, d 2.086, intensity 177, hkl 3 1 0
- 74.77 deg, d 1.270, intensity 131, hkl 3 3 3
- 64.75 deg, d 1.440, intensity 123, hkl 4 2 1

Cell and atoms:
abc: 6.5976 6.5976 6.5976
angles: 90.00 90.00 90.00
Space group P2_13 (No. 198)
One atom of each set of equivalent atoms:
Pa 0.0833 0.0833 0.0833 x4
Cu 0.0616 0.5616 0.9384 x4
O 0.0017 0.2664 0.3541 x12

---

5.
Diffraction record for PaCu2PbO8. The powder XRD pattern is calculated, not measured: it uses a PBE-relaxed structure and copper Kα.
No peak broadening, texture or thermal motion is included.

Main lines, in order of falling intensity (2θ from 15° to 90°):
- 25.55 deg, d 3.487, intensity 1000, hkl 2 0 0
- 32.33 deg, d 2.769, intensity 842, hkl 1 1 2
- 49.50 deg, d 1.841, intensity 676, hkl 3 1 2
- 18.37 deg, d 4.828, intensity 545, hkl 1 0 1
- 36.44 deg, d 2.465, intensity 267, hkl 2 2 0
- 63.01 deg, d 1.475, intensity 196, hkl 3 3 2
- 31.65 deg, d 2.827, intensity 166, hkl 2 1 1
- 61.47 deg, d 1.508, intensity 165, hkl 2 0 4
- 59.26 deg, d 1.559, intensity 153, hkl 4 2 0
- 52.49 deg, d 1.743, intensity 151, hkl 4 0 0
- 75.03 deg, d 1.266, intensity 151, hkl 5 1 2
- 41.11 deg, d 2.196, intensity 139, hkl 3 0 1

Cell and atoms:
abc: 6.9732 6.9732 6.6923
angles: 90.00 90.00 90.00
Space group I-4m2 (No. 119)
One atom of each set of equivalent atoms:
Pa 0.0000 0.0000 0.0000 x2
Cu 0.0000 0.0000 0.5000 x2
Cu 0.0000 0.5000 0.7500 x2
Pb 0.0000 0.5000 0.2500 x2
O 0.0000 0.1769 0.2936 x8
O 0.0000 0.3171 0.9523 x8

---

6.
Diffraction record for PaCuPbO5. The powder XRD pattern is calculated, not measured: it uses a PBE-relaxed structure and copper Kα.
No peak broadening, texture or thermal motion is included.

Main lines, in order of falling intensity (2θ from 15° to 90°):
- 24.62 deg, d 3.617, intensity 1000, hkl 1 1 -2
- 30.49 deg, d 2.932, intensity 953, hkl 1 3 0
- 29.14 deg, d 3.064, intensity 702, hkl 2 0 0
- 29.35 deg, d 3.043, intensity 663, hkl 0 2 2
- 32.65 deg, d 2.743, intensity 355, hkl 1 1 2
- 35.69 deg, d 2.516, intensity 286, hkl 2 2 -2
- 52.77 deg, d 1.735, intensity 276, hkl 1 3 -4
- 43.68 deg, d 2.072, intensity 275, hkl 3 1 -2
- 52.51 deg, d 1.743, intensity 259, hkl 3 3 0
- 17.65 deg, d 5.026, intensity 251, hkl 1 1 -1
- 43.16 deg, d 2.096, intensity 222, hkl 0 4 2
- 47.31 deg, d 1.921, intensity 206, hkl 2 2 2

Cell and atoms:
abc: 6.4964 10.0165 8.1237
angles: 90.00 109.36 90.00
Space group C2/c (No. 15)
One atom of each set of equivalent atoms:
Pa 0.0000 0.0000 0.0000 x4
Cu 0.0000 0.3293 0.2500 x4
Pb 0.0000 0.3294 0.7500 x4
O 0.0000 0.0759 0.7500 x4
O 0.0576 0.2046 0.0959 x8
O 0.1553 0.4591 0.4141 x8

---

7.
Diffraction record for PaCuPdO4. The powder XRD pattern is calculated, not measured: it uses a PBE-relaxed structure and copper Kα.
No peak broadening, texture or thermal motion is included.

Main lines, in order of falling intensity (2θ from 15° to 90°):
- 17.49 deg, d 5.070, intensity 1000, hkl 1 0 1
- 31.71 deg, d 2.822, intensity 808, hkl 1 2 1
- 31.97 deg, d 2.799, intensity 558, hkl 0 2 2
- 31.08 deg, d 2.877, intensity 514, hkl 1 0 3
- 55.53 deg, d 1.655, intensity 406, hkl 2 2 4
- 40.47 deg, d 2.229, intensity 327, hkl 2 2 0
- 35.41 deg, d 2.535, intensity 258, hkl 2 0 2
- 36.36 deg, d 2.471, intensity 246, hkl 0 0 4
- 34.33 deg, d 2.612, intensity 229, hkl 2 1 1
- 54.67 deg, d 1.679, intensity 200, hkl 3 2 1
- 56.03 deg, d 1.641, intensity 182, hkl 1 2 5
- 63.62 deg, d 1.463, intensity 140, hkl 1 4 3

Cell and atoms:
abc: 5.9070 6.7933 9.8833
angles: 90.00 90.00 90.00
Space group Imma (No. 74)
One atom of each set of equivalent atoms:
Pa 0.0000 0.0000 0.0000 x4
Cu 0.0000 0.2500 0.3341 x4
Pd 0.2500 0.2500 0.7500 x4
O 0.0000 0.0348 0.7713 x8
O 0.2258 0.2500 0.0408 x8

---

8.
Diffraction record for PmPa2CuO8. The powder XRD pattern is calculated, not measured: it uses a PBE-relaxed structure and copper Kα.
No peak broadening, texture or thermal motion is included.

Main lines, in order of falling intensity (2θ from 15° to 90°):
- 34.44 deg, d 2.604, intensity 1000, hkl 1 1 0
- 24.17 deg, d 3.682, intensity 730, hkl 0 1 1
- 42.48 deg, d 2.128, intensity 283, hkl 2 0 1
- 61.65 deg, d 1.505, intensity 280, hkl 3 0 0
- 49.51 deg, d 1.841, intensity 233, hkl 0 2 2
- 55.76 deg, d 1.649, intensity 165, hkl 1 2 1
- 55.89 deg, d 1.645, intensity 111, hkl 1 1 3
- 61.85 deg, d 1.500, intensity 94, hkl 0 1 4
- 47.36 deg, d 1.919, intensity 93, hkl 1 0 3
- 72.51 deg, d 1.304, intensity 88, hkl 2 2 0
- 82.99 deg, d 1.164, intensity 82, hkl 1 2 4
- 82.83 deg, d 1.165, intensity 78, hkl 1 3 2

Cell and atoms:
abc: 5.2146 5.2146 6.3616
angles: 90.00 90.00 120.00
Space group P-3m1 (No. 164)
One atom of each set of equivalent atoms:
Pm 0.0000 0.0000 0.0000 x1
Pa 0.3333 0.6667 0.3701 x2
Cu 0.0000 0.0000 0.5000 x1
O 0.1717 0.3434 0.6773 x6
O 0.3333 0.6667 0.0701 x2

---

9.
Diffraction record for RbPa3Cu4O12. The powder XRD pattern is calculated, not measured: it uses a PBE-relaxed structure and copper Kα.
No peak broadening, texture or thermal motion is included.

Main lines, in order of falling intensity (2θ from 15° to 90°):
- 26.85 deg, d 3.321, intensity 1000, hkl 2 0 2
- 34.24 deg, d 2.619, intensity 441, hkl 1 3 1
- 25.86 deg, d 3.445, intensity 398, hkl 2 1 1
- 15.55 deg, d 5.699, intensity 384, hkl 1 1 0
- 20.54 deg, d 4.325, intensity 376, hkl 0 2 1
- 38.52 deg, d 2.337, intensity 259, hkl 3 1 2
- 31.39 deg, d 2.849, intensity 238, hkl 2 2 0
- 44.33 deg, d 2.043, intensity 235, hkl 0 2 4
- 33.83 deg, d 2.650, intensity 232, hkl 1 1 3
- 52.33 deg, d 1.748, intensity 186, hkl 4 1 3
- 52.62 deg, d 1.739, intensity 177, hkl 5 1 1
- 57.46 deg, d 1.604, intensity 167, hkl 3 3 3

Cell and atoms:
abc: 11.3979 11.3979 8.9785
angles: 90.00 90.00 120.00
Space group R32 (No. 155, hexagonal axes)
One atom of each set of equivalent atoms:
Rb 0.0000 0.0000 0.0000 x3
Pa 0.0000 0.5596 0.0000 x9
Cu 0.0000 0.0000 0.5000 x3
Cu 0.0000 0.4349 0.5000 x9
O 0.0000 0.6020 0.5000 x9
O 0.0000 0.8340 0.5000 x9
O 0.0466 0.2176 0.2176 x18

---

10.
Diffraction record for PaCu3Rh4O12. The powder XRD pattern is calculated, not measured: it uses a PBE-relaxed structure and copper Kα.
No peak broadening, texture or thermal motion is included.

Main lines, in order of falling intensity (2θ from 15° to 90°):
- 33.59 deg, d 2.668, intensity 1000, hkl 2 2 0
- 60.07 deg, d 1.540, intensity 462, hkl 4 2 2
- 48.24 deg, d 1.886, intensity 230, hkl 4 0 0
- 16.62 deg, d 5.336, intensity 225, hkl 1 1 0
- 80.51 deg, d 1.193, intensity 169, hkl 6 2 0
- 70.61 deg, d 1.334, intensity 122, hkl 4 4 0
- 44.95 deg, d 2.017, intensity 106, hkl 3 1 2
- 37.70 deg, d 2.386, intensity 89, hkl 3 0 1
- 28.99 deg, d 3.081, intensity 67, hkl 2 1 1
- 62.79 deg, d 1.480, intensity 40, hkl 4 3 1
- 51.37 deg, d 1.779, intensity 35, hkl 4 1 1
- 78.07 deg, d 1.224, intensity 32, hkl 5 2 3

Cell and atoms:
abc: 7.5457 7.5457 7.5457
angles: 90.00 90.00 90.00
Space group Im-3 (No. 204)
One atom of each set of equivalent atoms:
Pa 0.0000 0.0000 0.0000 x2
Cu 0.0000 0.0000 0.5000 x6
Rh 0.2500 0.2500 0.2500 x8
O 0.0000 0.2952 0.1601 x24

---

11.
Diffraction record for PaCuSbO6. The powder XRD pattern is calculated, not measured: it uses a PBE-relaxed structure and copper Kα.
No peak broadening, texture or thermal motion is included.

Main lines, in order of falling intensity (2θ from 15° to 90°):
- 27.38 deg, d 3.258, intensity 1000, hkl 1 0 2
- 32.43 deg, d 2.761, intensity 732, hkl 1 1 0
- 52.85 deg, d 1.732, intensity 576, hkl 1 1 4
- 38.37 deg, d 2.346, intensity 574, hkl 1 1 2
- 19.95 deg, d 4.450, intensity 478, hkl 0 0 2
- 42.94 deg, d 2.106, intensity 297, hkl 2 0 2
- 54.82 deg, d 1.675, intensity 288, hkl 2 1 2
- 57.85 deg, d 1.594, intensity 254, hkl 3 0 0
- 18.55 deg, d 4.782, intensity 243, hkl 1 0 0
- 21.09 deg, d 4.212, intensity 212, hkl 1 0 1
- 82.18 deg, d 1.173, intensity 154, hkl 4 -2 4
- 61.83 deg, d 1.501, intensity 142, hkl 3 0 2

Cell and atoms:
abc: 5.5218 5.5218 8.8992
angles: 90.00 90.00 120.00
Space group P-31c (No. 163)
One atom of each set of equivalent atoms:
Pa 0.3333 0.6667 0.2500 x2
Cu 0.0000 0.0000 0.0000 x2
Sb 0.3333 0.6667 0.7500 x2
O 0.0241 0.3538 0.6289 x12